Theoretical powder diffractogram
Compound: Ba2LiGa3Ge4
Radiation: copper Kα
Structure: DFT lattice parameters and positions (GGA-PBE)
Intensities are scaled so that the largest is 100.

```
Ba2LiGa3Ge4
1.0
4.7192 0.0000 0.0000
0.0000 4.7192 0.0000
0.0000 0.0000 10.4461
Ba Li Ga Ge
2 1 3 4
direct
0.0000 0.5000 0.2483
0.5000 0.0000 0.7517
0.5000 0.5000 0.0000
0.0000 0.0000 0.0000
0.0000 0.5000 0.6252
0.5000 0.0000 0.3748
0.0000 0.0000 0.5000
0.0000 0.5000 0.8711
0.5000 0.0000 0.1289
0.5000 0.5000 0.5000
```

Top 10 peaks for 2θ from 10° to 90°, by intensity:
| 2θ (°) | I_rel |
| --- | --- |
| 31.8 | 100 |
| 31.9 | 87 |
| 38.1 | 76 |
| 50.6 | 47 |
| 65.0 | 36 |
| 26.7 | 35 |
| 47.6 | 31 |
| 62.6 | 27 |
| 55.0 | 26 |
| 84.9 | 15 |



Theoretical powder diffractogram
Compound: Ba2MgGa4Ge3
Radiation: copper Kα
Structure: DFT lattice parameters and positions (GGA-PBE)
Intensities are scaled so that the largest is 100.

```
Ba2MgGa4Ge3
1.0
4.5857 0.0000 0.0000
0.0000 4.5857 0.0000
0.0000 0.0000 11.6300
Ba Mg Ga Ge
2 1 4 3
direct
0.0000 0.5000 0.2424
0.5000 0.0000 0.7576
0.0000 0.0000 0.5000
0.0000 0.0000 0.0000
0.0000 0.5000 0.6354
0.5000 0.0000 0.3646
0.5000 0.5000 0.0000
0.0000 0.5000 0.8763
0.5000 0.0000 0.1237
0.5000 0.5000 0.5000
```

Top 10 peaks for 2θ from 10° to 90°, by intensity:
| 2θ (°) | I_rel |
| --- | --- |
| 31.6 | 100 |
| 30.2 | 84 |
| 39.3 | 65 |
| 50.3 | 39 |
| 43.6 | 35 |
| 60.2 | 27 |
| 27.5 | 25 |
| 66.4 | 24 |
| 56.8 | 22 |
| 77.8 | 15 |



Theoretical powder diffractogram
Compound: BaMgGaGe2
Radiation: copper Kα
Structure: DFT lattice parameters and positions (GGA-PBE)
Intensities are scaled so that the largest is 100.

```
BaMgGaGe2
1.0
4.5307 0.0000 0.0000
0.0000 4.5307 0.0000
0.0000 0.0000 11.9160
Ba Mg Ga Ge
2 2 2 4
direct
0.0000 0.0000 0.0000
0.5000 0.5000 0.5000
0.0000 0.5000 0.2500
0.5000 0.0000 0.7500
0.0000 0.5000 0.7500
0.5000 0.0000 0.2500
0.0000 0.0000 0.3828
0.0000 0.0000 0.6172
0.5000 0.5000 0.1172
0.5000 0.5000 0.8828
```

Top 10 peaks for 2θ from 10° to 90°, by intensity:
| 2θ (°) | I_rel |
| --- | --- |
| 29.9 | 100 |
| 31.7 | 98 |
| 39.8 | 63 |
| 42.9 | 49 |
| 50.6 | 47 |
| 27.8 | 38 |
| 59.9 | 36 |
| 67.2 | 22 |
| 57.5 | 21 |
| 76.5 | 17 |



Theoretical powder diffractogram
Compound: BaGa2Ge2O8
Radiation: copper Kα
Structure: DFT lattice parameters and positions (GGA-PBE)
Intensities are scaled so that the largest is 100.

```
BaGa2Ge2O8
1.0
7.0040 -6.8690 0.0000
7.0040 6.8690 0.0000
-1.7262 0.0000 8.8641
Ba Ga Ge O
4 8 8 32
direct
0.0655 0.5657 0.7914
0.4343 0.9345 0.7086
0.5657 0.0655 0.2914
0.9345 0.4343 0.2086
0.0521 0.7959 0.4725
0.2041 0.9479 0.0275
0.2983 0.4337 0.1130
0.4337 0.2983 0.6130
0.5663 0.7017 0.3870
0.7017 0.5663 0.8870
0.7959 0.0521 0.9725
0.9479 0.2041 0.5275
0.0709 0.2119 0.8973
0.2119 0.0709 0.3973
0.2881 0.5589 0.4803
0.4411 0.7119 0.0197
0.5589 0.2881 0.9803
0.7119 0.4411 0.5197
0.7881 0.9291 0.6027
0.9291 0.7881 0.1027
0.0239 0.2706 0.7212
0.0672 0.8177 0.0031
0.0726 0.1848 0.3888
0.1304 0.3718 0.0032
0.1432 0.6457 0.5461
0.1823 0.9328 0.4969
0.1848 0.0726 0.8888
0.2329 0.4762 0.2964
0.2706 0.0239 0.2212
0.3165 0.4452 0.6180
0.3192 0.5796 0.0061
0.3543 0.8568 0.9539
0.3718 0.1304 0.5032
0.4204 0.6808 0.4939
0.4452 0.3165 0.1180
0.4762 0.2329 0.7964
0.5238 0.7671 0.2036
0.5548 0.6835 0.8820
0.5796 0.3192 0.5061
0.6282 0.8696 0.4968
0.6457 0.1432 0.0461
0.6808 0.4204 0.9939
0.6835 0.5548 0.3820
0.7294 0.9761 0.7788
0.7671 0.5238 0.7036
0.8152 0.9274 0.1112
0.8177 0.0672 0.5031
0.8568 0.3543 0.4539
0.8696 0.6282 0.9968
0.9274 0.8152 0.6112
0.9328 0.1823 0.9969
0.9761 0.7294 0.2788
```

Top 10 peaks for 2θ from 10° to 90°, by intensity:
| 2θ (°) | I_rel |
| --- | --- |
| 25.9 | 100 |
| 25.3 | 91 |
| 32.9 | 65 |
| 28.0 | 55 |
| 24.4 | 53 |
| 33.0 | 51 |
| 22.2 | 44 |
| 29.1 | 39 |
| 30.6 | 31 |
| 48.1 | 27 |



Theoretical powder diffractogram
Compound: Ba2Ga2Ge2P
Radiation: copper Kα
Structure: DFT lattice parameters and positions (GGA-PBE)
Intensities are scaled so that the largest is 100.

```
Ba2Ga2Ge2P
1.0
10.9260 0.0000 0.0000
0.0000 4.9910 0.0000
-5.1628 0.0000 6.7352
Ba Ga Ge P
4 4 4 2
direct
0.0696 0.0000 0.3189
0.4304 0.5000 0.6811
0.5696 0.5000 0.3189
0.9304 0.0000 0.6811
0.2224 0.5000 0.8552
0.2776 0.0000 0.1448
0.7224 0.0000 0.8552
0.7776 0.5000 0.1448
0.1495 0.5000 0.1024
0.3505 0.0000 0.8976
0.6495 0.0000 0.1024
0.8505 0.5000 0.8976
0.0000 0.5000 0.5000
0.5000 0.0000 0.5000
```

Top 10 peaks for 2θ from 10° to 90°, by intensity:
| 2θ (°) | I_rel |
| --- | --- |
| 31.4 | 100 |
| 36.0 | 95 |
| 27.7 | 71 |
| 30.6 | 64 |
| 28.2 | 54 |
| 30.9 | 42 |
| 47.9 | 36 |
| 31.8 | 31 |
| 49.1 | 24 |
| 44.3 | 24 |



Theoretical powder diffractogram
Compound: BaPaGa2Ge2
Radiation: copper Kα
Structure: DFT lattice parameters and positions (GGA-PBE)
Intensities are scaled so that the largest is 100.

```
BaPaGa2Ge2
1.0
4.2400 0.0000 0.0000
-2.1200 3.6719 0.0000
0.0000 0.0000 9.4752
Ba Pa Ga Ge
1 1 2 2
direct
0.0000 0.0000 0.0000
0.0000 0.0000 0.5000
0.3333 0.6667 0.6827
0.6667 0.3333 0.3173
0.3333 0.6667 0.2449
0.6667 0.3333 0.7551
```

Top 10 peaks for 2θ from 10° to 90°, by intensity:
| 2θ (°) | I_rel |
| --- | --- |
| 30.8 | 100 |
| 42.6 | 36 |
| 53.5 | 21 |
| 70.7 | 19 |
| 58.4 | 17 |
| 24.2 | 16 |
| 45.6 | 15 |
| 64.2 | 13 |
| 80.2 | 10 |
| 38.0 | 9 |